# TbMgGe2Pd2
Calculated powder X-ray diffraction pattern, a wavelength of 1.5418 Å. Input: a structure optimized by DFT (PBE).

Most intense lines, 10 to 80 degrees two-theta, sorted by position:
hkl 0 1 1, 27.08°, I = 59.4; hkl 1 0 2, 35.63°, I = 100.0; hkl 1 1 0, 41.53°, I = 80.9; hkl 0 2 2, 55.85°, I = 27.1; hkl 1 1 3, 58.94°, I = 27.0; hkl 2 1 2, 71.95°, I = 25.1

Structural model:
```
data_TbMgGe2Pd2
_chemical_formula_sum 'Tb1 Mg1 Ge2 Pd2'
_cell_length_a 4.3485
_cell_length_b 4.3485
_cell_length_c 6.7806
_cell_angle_alpha 90.00
_cell_angle_beta 90.00
_cell_angle_gamma 120.00
_space_group_name_H-M_alt 'P -3 m 1'
_space_group_IT_number 164
_space_group_name_Hall '-P 3 2"'
loop_
_atom_site_label
_atom_site_type_symbol
_atom_site_fract_x
_atom_site_fract_y
_atom_site_fract_z
Tb1 Tb 0.0000 0.0000 0.0000
Mg1 Mg 0.0000 0.0000 0.5000
Ge1 Ge 0.3333 0.6667 0.7367
Pd1 Pd 0.3333 0.6667 0.3195
```